Entry 1:
Simulated powder XRD pattern
Compound: HgTeO3F
Radiation: CuKα
Structure: a DFT-relaxed cell (GGA-PBE, the Materials Project)

Principal peaks in the range 10 to 90 degrees two-theta, by angle:
2theta  I (rel.)  (hkl)
11.18  46  0 1 0
21.17  27  1 1 1
25.06  59  1 2 0
26.24  100  2 0 1
28.58  49  0 0 2
28.89  52  1 2 1
32.70  27  1 1 2
38.33  26  1 2 2
38.69  20  1 3 1
43.10  25  3 2 1
46.39  30  1 1 3
50.56  26  2 1 3

Structure:
a b c (Å): 8.087 7.912 6.259
angles (deg): 90.00 90.00 90.00
Space group Pca2_1 (No. 29)
Asymmetric unit:
Hg1 0.140 0.115 0.000
Te1 0.114 0.693 0.155
O1 0.113 0.295 0.768
O2 0.174 0.922 0.220
O3 0.213 0.618 0.440
F1 0.003 0.235 0.386

Entry 2:
Simulated powder XRD pattern
Compound: CsKMg14O15
Radiation: CuKα
Structure: a DFT-relaxed cell (GGA-PBE, the Materials Project)

Principal peaks in the range 10 to 90 degrees two-theta, by angle:
2theta  I (rel.)  (hkl)
10.24  46  0 0 1
14.24  26  0 1 1
22.86  23  0 1 2
28.66  30  0 2 2
30.33  35  1 1 2
35.04  47  1 2 2
38.43  27  1 1 3
39.95  100  2 0 0
40.24  92  0 4 0
41.85  52  0 0 4
58.00  55  2 4 0
59.46  24  0 4 4

Structure:
a b c (Å): 4.514 8.964 8.635
angles (deg): 90.00 90.00 90.00
Space group Pmm2 (No. 25)
Asymmetric unit:
Cs1 0.000 0.000 0.000
K1 0.000 0.500 0.129
Mg1 0.000 0.000 0.595
Mg2 0.000 0.240 0.360
Mg3 0.000 0.284 0.869
Mg4 0.000 0.500 0.616
Mg5 0.500 0.000 0.352
Mg6 0.500 0.000 0.848
Mg7 0.500 0.249 0.616
Mg8 0.500 0.254 0.121
Mg9 0.500 0.500 0.372
Mg10 0.500 0.500 0.867
O1 0.000 0.000 0.373
O2 0.000 0.232 0.632
O3 0.000 0.243 0.120
O4 0.000 0.500 0.398
O5 0.000 0.500 0.841
O6 0.500 0.000 0.119
O7 0.500 0.000 0.621
O8 0.500 0.243 0.866
O9 0.500 0.250 0.371
O10 0.500 0.500 0.104
O11 0.500 0.500 0.623

Entry 3:
Simulated powder XRD pattern
Compound: Cs2LaTa6Br15O3
Radiation: CuKα
Structure: a DFT-relaxed cell (GGA-PBE, the Materials Project)

Principal peaks in the range 10 to 90 degrees two-theta, by angle:
2theta  I (rel.)  (hkl)
10.57  100  1 0 0
14.20  56  1 0 2
26.52  37  2 -1 4
28.22  39  2 1 0
28.62  21  2 0 4
31.72  40  3 -1 3
34.22  90  3 -1 4
40.02  47  1 0 8
40.63  36  3 -1 6
42.10  36  4 -2 4
43.54  27  3 1 4
49.95  35  4 1 0

Structure:
a b c (Å): 9.6605 9.6605 18.7169
angles (deg): 90.00 90.00 120.00
Space group P-31c (No. 163)
Asymmetric unit:
Cs1 0.3333 0.6667 0.0448
La1 0.3333 0.6667 0.7500
Ta1 0.0166 0.1883 0.8119
Br1 0.0185 0.2209 0.0905
Br2 0.0751 0.4689 0.8795
Br3 0.2128 0.4257 0.2500
O1 0.1799 0.3598 0.7500

Entry 4:
Simulated powder XRD pattern
Compound: BaO6
Radiation: CuKα
Structure: a DFT-relaxed cell (GGA-PBE, the Materials Project)

Principal peaks in the range 10 to 90 degrees two-theta, by angle:
2theta  I (rel.)  (hkl)
14.51  56  1 1 0
17.72  37  0 2 0
19.66  90  1 1 -1
20.16  100  1 1 1
29.19  58  1 3 0
31.41  32  1 1 2
32.06  36  2 2 -1
32.46  30  1 3 1
32.72  35  2 2 1
38.32  29  3 1 -1
38.53  41  0 4 1
44.53  32  3 3 0

Structure:
a b c (Å): 7.711 10.009 6.527
angles (deg): 90.00 91.80 90.00
Space group C2/c (No. 15)
Asymmetric unit:
Ba1 0.000 0.182 0.250
O1 0.152 0.078 0.634
O2 0.190 0.285 0.945
O3 0.193 0.406 0.430

Entry 5:
Simulated powder XRD pattern
Compound: K2Nb3Cl9
Radiation: CuKα
Structure: a DFT-relaxed cell (GGA-PBE, the Materials Project)

Principal peaks in the range 10 to 90 degrees two-theta, by angle:
2theta  I (rel.)  (hkl)
10.46  57  0 2 0
10.85  100  1 1 0
11.70  80  1 1 -1
14.49  26  0 2 1
32.17  35  3 1 -3
32.97  39  2 4 1
37.13  39  1 5 2
40.92  18  2 6 1
42.76  18  4 0 -4
46.70  20  2 6 2
51.53  13  2 4 -5
52.02  14  5 5 -2

Structure:
a b c (Å): 10.286 16.914 9.781
angles (deg): 90.00 115.19 90.00
Space group C2/m (No. 12)
Asymmetric unit:
K1 0.110 0.161 0.327
Nb1 0.120 0.500 0.872
Nb2 0.134 0.413 0.140
Cl1 0.000 0.294 0.000
Cl2 0.018 0.397 0.314
Cl3 0.183 0.000 0.671
Cl4 0.196 0.197 0.678
Cl5 0.202 0.103 0.984
Cl6 0.231 0.000 0.285

Entry 6:
Simulated powder XRD pattern
Compound: Gd2CuO4
Radiation: CuKα
Structure: a DFT-relaxed cell (GGA-PBE, the Materials Project)

Principal peaks in the range 10 to 90 degrees two-theta, by angle:
2theta  I (rel.)  (hkl)
23.95  19  1 0 1
32.05  100  1 0 3
32.39  35  1 1 0
44.62  17  1 1 4
45.45  7  0 0 6
46.46  26  2 0 0
56.91  15  1 1 6
57.55  37  2 1 3
58.94  7  1 0 7
67.02  9  2 0 6
67.80  8  2 2 0
76.97  8  3 0 3

Structure:
a b c (Å): 3.909 3.909 11.974
angles (deg): 90.00 90.00 90.00
Space group I4/mmm (No. 139)
Asymmetric unit:
Gd1 0.000 0.000 0.151
Cu1 0.000 0.000 0.500
O1 0.000 0.500 0.000
O2 0.000 0.500 0.250

Entry 7:
Simulated powder XRD pattern
Compound: In5Pt11
Radiation: CuKα
Structure: a DFT-relaxed cell (GGA-PBE, the Materials Project)

Principal peaks in the range 10 to 90 degrees two-theta, by angle:
2theta  I (rel.)  (hkl)
38.15  100  0 1 4
38.28  99  2 1 0
43.55  34  2 0 -4
44.11  34  0 2 0
45.57  30  2 0 4
63.72  22  2 2 -4
65.29  21  2 2 4
76.27  12  2 1 -8
76.51  12  4 1 -4
77.19  26  2 3 0
79.18  11  2 1 8
79.41  12  4 1 4

Structure:
a b c (Å): 5.742 4.106 11.538
angles (deg): 90.00 92.47 90.00
Space group P2/m (No. 10)
Asymmetric unit:
In1 0.000 0.000 0.000
In2 0.254 0.500 0.374
In3 0.275 0.500 0.861
Pt1 0.000 0.000 0.500
Pt2 0.001 0.000 0.752
Pt3 0.236 0.500 0.118
Pt4 0.242 0.500 0.621
Pt5 0.494 0.000 0.253
Pt6 0.500 0.000 0.000
Pt7 0.500 0.000 0.500

Entry 8:
Simulated powder XRD pattern
Compound: Hg3Se2Cl2
Radiation: CuKα
Structure: a DFT-relaxed cell (GGA-PBE, the Materials Project)

Principal peaks in the range 10 to 90 degrees two-theta, by angle:
2theta  I (rel.)  (hkl)
13.36  21  1 1 0
18.94  28  2 0 0
23.24  100  2 1 1
30.15  67  3 1 0
33.11  25  2 2 2
35.85  31  3 2 1
38.41  37  4 0 0
40.84  31  3 3 0
43.16  22  4 0 2
49.59  52  4 3 1
57.31  22  4 3 3
60.93  20  6 1 1

Structure:
a b c (Å): 9.373 9.373 9.373
angles (deg): 90.00 90.00 90.00
Space group I2_13 (No. 199)
Asymmetric unit:
Hg1 0.000 0.250 0.940
Se1 0.020 0.480 0.520
Cl1 0.243 0.243 0.243

What is the formula in the third record?
Cs2LaTa6Br15O3